# 1
Structure and theoretical powder XRD pattern of ThGa6 (a structure optimized by DFT (PBE); Cu Kα (weighted mean of Kα1 and Kα2)).
No peak broadening, texture or thermal motion is included.

Top 8 peaks for 15 to 90 degrees two-theta, most intense first:
- 31.7°, I = 100
- 41.2°, I = 51
- 31.3°, I = 47
- 42.1°, I = 33
- 53.4°, I = 29
- 35.1°, I = 24
- 40.8°, I = 23
- 69.4°, I = 21

Crystal structure
```
ThGa6
1.0
6.0730 0.0000 0.0000
0.0000 6.0730 0.0000
0.0000 0.0000 7.6443
Th Ga
2 12
direct
0.2500 0.7500 0.0000 Th
0.7500 0.2500 0.0000 Th
0.0702 0.5702 0.3538 Ga
0.0702 0.9298 0.6462 Ga
0.2500 0.2500 0.1647 Ga
0.2500 0.2500 0.8353 Ga
0.4298 0.5702 0.6462 Ga
0.4298 0.9298 0.3538 Ga
0.5702 0.0702 0.6462 Ga
0.5702 0.4298 0.3538 Ga
0.7500 0.7500 0.1647 Ga
0.7500 0.7500 0.8353 Ga
0.9298 0.0702 0.3538 Ga
0.9298 0.4298 0.6462 Ga
```

***

# 2
Structure and theoretical powder XRD pattern of ThVGa3 (a structure optimized by DFT (PBE); Cu Kα (weighted mean of Kα1 and Kα2)).
No peak broadening, texture or thermal motion is included.

Top 8 peaks for 15 to 90 degrees two-theta, most intense first:
- 36.6°, I = 100
- 28.4°, I = 35
- 31.5°, I = 29
- 46.2°, I = 27
- 22.6°, I = 27
- 47.0°, I = 25
- 59.5°, I = 24
- 35.7°, I = 22

Crystal structure
```
ThVGa3
1.0
6.2817 0.0000 0.0000
-3.1409 5.4401 0.0000
0.0000 0.0000 5.6759
Th V Ga
2 2 6
direct
0.3333 0.6667 0.2500 Th
0.6667 0.3333 0.7500 Th
0.0000 0.0000 0.0000 V
0.0000 0.0000 0.5000 V
0.1929 0.3859 0.7500 Ga
0.1929 0.8071 0.7500 Ga
0.3859 0.1929 0.2500 Ga
0.6141 0.8071 0.7500 Ga
0.8071 0.1929 0.2500 Ga
0.8071 0.6141 0.2500 Ga
```

***

# 3
Structure and theoretical powder XRD pattern of Th4ZnGa12 (a structure optimized by DFT (PBE); Cu Kα (weighted mean of Kα1 and Kα2)).
No peak broadening, texture or thermal motion is included.

Top 8 peaks for 15 to 90 degrees two-theta, most intense first:
- 34.9°, I = 100
- 40.5°, I = 58
- 28.3°, I = 57
- 58.6°, I = 33
- 70.1°, I = 31
- 19.9°, I = 27
- 45.5°, I = 23
- 66.4°, I = 17

Crystal structure
```
Th4ZnGa12
1.0
-4.4545 4.4545 4.4545
4.4545 -4.4545 4.4545
4.4545 4.4545 -4.4545
Th Zn Ga
4 1 12
direct
0.0000 0.0000 0.5000 Th
0.0000 0.5000 0.0000 Th
0.5000 0.0000 0.0000 Th
0.5000 0.5000 0.5000 Th
0.0000 0.0000 0.0000 Zn
0.0000 0.3093 0.3093 Ga
0.0000 0.6907 0.6907 Ga
0.2500 0.5000 0.7500 Ga
0.2500 0.7500 0.5000 Ga
0.3093 0.0000 0.3093 Ga
0.3093 0.3093 0.0000 Ga
0.5000 0.2500 0.7500 Ga
0.5000 0.7500 0.2500 Ga
0.6907 0.0000 0.6907 Ga
0.6907 0.6907 0.0000 Ga
0.7500 0.2500 0.5000 Ga
0.7500 0.5000 0.2500 Ga
```

***

# 4
Structure and theoretical powder XRD pattern of ThZn4Ga2 (a structure optimized by DFT (PBE); Cu Kα (weighted mean of Kα1 and Kα2)).
No peak broadening, texture or thermal motion is included.

Top 8 peaks for 15 to 90 degrees two-theta, most intense first:
- 35.7°, I = 100
- 31.0°, I = 36
- 43.7°, I = 34
- 32.7°, I = 29
- 43.3°, I = 27
- 37.6°, I = 23
- 28.2°, I = 20
- 63.2°, I = 17

Crystal structure
```
ThZn4Ga2
1.0
4.1747 0.0000 0.0000
0.0000 14.5817 0.0000
0.0000 0.0000 4.1483
Th Zn Ga
2 8 4
direct
0.0000 0.0000 0.0000 Th
0.5000 0.5000 0.0000 Th
0.0000 0.1857 0.5000 Zn
0.0000 0.3090 0.0000 Zn
0.0000 0.6910 0.0000 Zn
0.0000 0.8143 0.5000 Zn
0.5000 0.1910 0.0000 Zn
0.5000 0.3143 0.5000 Zn
0.5000 0.6857 0.5000 Zn
0.5000 0.8090 0.0000 Zn
0.0000 0.4143 0.5000 Ga
0.0000 0.5857 0.5000 Ga
0.5000 0.0857 0.5000 Ga
0.5000 0.9143 0.5000 Ga
```